Structure and simulated powder diffraction line list of AgI (a GGA-PBE-relaxed structure; Cu Ka).

Most intense lines, 2θ = 15–90°, most intense first:
| Position (°2θ) | I/Imax |
| --- | --- |
| 37.08 | 100 |
| 45.00 | 94 |
| 22.04 | 89 |
| 24.58 | 83 |
| 37.72 | 34 |
| 32.65 | 31 |
| 21.16 | 27 |
| 72.38 | 22 |
| 64.20 | 18 |
| 66.84 | 17 |

```
8
Lattice="4.8486 0.0000 0.0000 -2.4243 4.1990 0.0000 0.0000 0.0000 14.4872" Properties=species:S:1:pos:R:3 pbc="T T T"
Ag 0.0000 0.0000 0.0000
Ag 0.0000 0.0000 7.2436
Ag 0.0000 2.7994 2.9247
Ag 2.4243 1.3997 10.1683
I 0.0000 0.0000 3.4451
I 0.0000 0.0000 10.6887
I 0.0000 2.7994 14.2917
I 2.4243 1.3997 7.0481
```